The following is a calculated powder XRD pattern of ZnGa3N3O. It was derived from a PBE-relaxed structure, using Cu Kα, 1.54184 Å.

Most intense lines, 2θ from 10° to 90°, low angle first:
31.83 deg, rel. 46, hkl 2 -2 0; 34.01 deg, rel. 37, hkl 0 0 4; 36.21 deg, rel. 100, hkl 0 2 -2; 56.71 deg, rel. 32, hkl 4 -2 0; 62.31 deg, rel. 29, hkl 0 2 -6; 67.80 deg, rel. 27, hkl 4 -2 4

```
data_ZnGa3N3O
_chemical_formula_sum 'Zn4 Ga12 N12 O4'
_cell_length_a 6.491
_cell_length_b 6.493
_cell_length_c 10.543
_cell_angle_alpha 90.01
_cell_angle_beta 90.01
_cell_angle_gamma 119.95
_symmetry_space_group_name_H-M 'P 1'
_symmetry_Int_Tables_number 1
loop_
_symmetry_equiv_pos_as_xyz
'x,y,z'
loop_
_atom_site_label
_atom_site_type_symbol
_atom_site_fract_x
_atom_site_fract_y
_atom_site_fract_z
_atom_site_occupancy
Zn1 Zn 0.000 0.000 0.000 1
Zn2 Zn 0.012 0.523 0.999 1
Zn3 Zn 0.172 0.344 0.756 1
Zn4 Zn 0.672 0.344 0.753 1
Ga1 Ga 0.004 0.009 0.522 1
Ga2 Ga 0.005 0.512 0.524 1
Ga3 Ga 0.174 0.845 0.763 1
Ga4 Ga 0.183 0.349 0.274 1
Ga5 Ga 0.183 0.850 0.273 1
Ga6 Ga 0.498 0.000 0.013 1
Ga7 Ga 0.506 0.011 0.521 1
Ga8 Ga 0.507 0.513 0.524 1
Ga9 Ga 0.508 0.520 0.015 1
Ga10 Ga 0.663 0.339 0.272 1
Ga11 Ga 0.664 0.841 0.272 1
Ga12 Ga 0.669 0.841 0.762 1
N1 N 0.000 0.002 0.705 1
N2 N 0.011 0.521 0.705 1
N3 N 0.172 0.344 0.455 1
N4 N 0.172 0.845 0.454 1
N5 N 0.185 0.854 0.951 1
N6 N 0.503 0.003 0.703 1
N7 N 0.507 0.012 0.204 1
N8 N 0.508 0.512 0.205 1
N9 N 0.510 0.519 0.704 1
N10 N 0.662 0.841 0.954 1
N11 N 0.673 0.344 0.454 1
N12 N 0.673 0.845 0.454 1
O1 O 0.006 0.511 0.215 1
O2 O 0.007 0.012 0.216 1
O3 O 0.184 0.348 0.969 1
O4 O 0.660 0.338 0.970 1
```

***

The following is a calculated powder XRD pattern of Zn2GaNO2. It was derived from a PBE-relaxed structure, using Cu Kα, 1.54184 Å.

Most intense lines, 2θ from 10° to 90°, low angle first:
31.72 deg, rel. 49, hkl 3 1 0; 33.79 deg, rel. 60, hkl 0 0 2; 35.93 deg, rel. 52, hkl 0 2 1; 36.06 deg, rel. 100, hkl 3 1 1; 56.32 deg, rel. 33, hkl 3 3 0; 61.91 deg, rel. 50, hkl 0 2 3

```
data_Zn2GaNO2
_chemical_formula_sum 'Zn8 Ga4 N4 O8'
_cell_length_a 9.757
_cell_length_b 5.667
_cell_length_c 5.305
_cell_angle_alpha 90.00
_cell_angle_beta 90.00
_cell_angle_gamma 90.00
_symmetry_space_group_name_H-M 'C m c 21'
_symmetry_Int_Tables_number 36
loop_
_symmetry_equiv_pos_as_xyz
'x,y,z'
'-x,-y,z+1/2'
'-x,y,z'
'x,-y,z+1/2'
'x+1/2,y+1/2,z'
'-x+1/2,-y+1/2,z+1/2'
'-x+1/2,y+1/2,z'
'x+1/2,-y+1/2,z+1/2'
loop_
_atom_site_label
_atom_site_type_symbol
_atom_site_fract_x
_atom_site_fract_y
_atom_site_fract_z
_atom_site_occupancy
Zn1 Zn 0.161 0.172 0.000 1
Ga1 Ga 0.000 0.345 0.507 1
N1 N 0.000 0.344 0.867 1
O1 O 0.160 0.173 0.389 1
```

***

The following is a calculated powder XRD pattern of GaOsSN. It was derived from a PBE-relaxed structure, using Cu Kα, 1.54184 Å.

Most intense lines, 2θ from 10° to 90°, low angle first:
18.08 deg, rel. 100, hkl 0 0 1; 19.00 deg, rel. 62, hkl 1 0 0; 20.57 deg, rel. 41, hkl 1 0 -1; 31.13 deg, rel. 33, hkl 1 0 1; 37.38 deg, rel. 47, hkl 1 1 0; 38.24 deg, rel. 39, hkl 1 1 -1

```
data_GaOsSN
_chemical_formula_sum 'Ga1 Os1 S1 N1'
_cell_length_a 5.064
_cell_length_b 2.807
_cell_length_c 5.320
_cell_angle_alpha 90.00
_cell_angle_beta 112.75
_cell_angle_gamma 90.00
_symmetry_space_group_name_H-M 'P 1 m 1'
_symmetry_Int_Tables_number 6
loop_
_symmetry_equiv_pos_as_xyz
'x,y,z'
'x,-y,z'
loop_
_atom_site_label
_atom_site_type_symbol
_atom_site_fract_x
_atom_site_fract_y
_atom_site_fract_z
_atom_site_occupancy
Ga1 Ga 0.000 0.000 0.000 1
Os1 Os 0.297 0.500 0.783 1
S1 S 0.973 0.000 0.445 1
N1 N 0.585 0.000 0.836 1
```

***

The following is a calculated powder XRD pattern of GaOsSN. It was derived from a PBE-relaxed structure, using Cu Kα, 1.54184 Å.

Most intense lines, 2θ from 10° to 90°, low angle first:
15.05 deg, rel. 62, hkl 0 0 2; 25.06 deg, rel. 100, hkl 0 1 1; 30.61 deg, rel. 52, hkl 1 0 1; 37.63 deg, rel. 47, hkl 1 0 3; 41.47 deg, rel. 47, hkl 1 1 2; 49.73 deg, rel. 37, hkl 1 1 4

```
data_GaOsSN
_chemical_formula_sum 'Ga2 Os2 S2 N2'
_cell_length_a 3.015
_cell_length_b 3.727
_cell_length_c 11.772
_cell_angle_alpha 90.00
_cell_angle_beta 90.00
_cell_angle_gamma 90.00
_symmetry_space_group_name_H-M 'I m m 2'
_symmetry_Int_Tables_number 44
loop_
_symmetry_equiv_pos_as_xyz
'x,y,z'
'-x,-y,z'
'-x,y,z'
'x,-y,z'
'x+1/2,y+1/2,z+1/2'
'-x+1/2,-y+1/2,z+1/2'
'-x+1/2,y+1/2,z+1/2'
'x+1/2,-y+1/2,z+1/2'
loop_
_atom_site_label
_atom_site_type_symbol
_atom_site_fract_x
_atom_site_fract_y
_atom_site_fract_z
_atom_site_occupancy
Ga1 Ga 0.000 0.000 0.000 1
Os1 Os 0.000 0.500 0.675 1
S1 S 0.000 0.500 0.880 1
N1 N 0.000 0.000 0.673 1
```

***

The following is a calculated powder XRD pattern of Pa2GaPN6. It was derived from a PBE-relaxed structure, using Cu Kα, 1.54184 Å.

Most intense lines, 2θ from 10° to 90°, low angle first:
19.24 deg, rel. 35, hkl 0 0 1; 24.58 deg, rel. 31, hkl 1 1 0; 31.40 deg, rel. 100, hkl 1 1 1; 35.04 deg, rel. 37, hkl 2 0 0; 40.28 deg, rel. 26, hkl 2 0 1; 60.59 deg, rel. 32, hkl 3 1 1

```
data_Pa2GaPN6
_chemical_formula_sum 'Pa2 Ga1 P1 N6'
_cell_length_a 5.122
_cell_length_b 5.122
_cell_length_c 4.612
_cell_angle_alpha 90.00
_cell_angle_beta 90.00
_cell_angle_gamma 90.00
_symmetry_space_group_name_H-M 'P 4 m m'
_symmetry_Int_Tables_number 99
loop_
_symmetry_equiv_pos_as_xyz
'x,y,z'
'-y,x,z'
'-x,-y,z'
'y,-x,z'
'-x,y,z'
'y,x,z'
'x,-y,z'
'-y,-x,z'
loop_
_atom_site_label
_atom_site_type_symbol
_atom_site_fract_x
_atom_site_fract_y
_atom_site_fract_z
_atom_site_occupancy
Pa1 Pa 0.000 0.500 0.000 1
Ga1 Ga 0.000 0.000 0.553 1
P1 P 0.500 0.500 0.578 1
N1 N 0.000 0.000 0.140 1
N2 N 0.268 0.268 0.700 1
N3 N 0.500 0.500 0.217 1
```

***

The following is a calculated powder XRD pattern of TaGaPN2. It was derived from a PBE-relaxed structure, using Cu Kα, 1.54184 Å.

Most intense lines, 2θ from 10° to 90°, low angle first:
17.48 deg, rel. 100, hkl 0 0 1; 24.43 deg, rel. 49, hkl 1 0 0; 34.82 deg, rel. 69, hkl 1 1 0; 35.38 deg, rel. 49, hkl 0 0 2; 39.22 deg, rel. 94, hkl 1 1 1; 50.49 deg, rel. 49, hkl 1 1 2

```
data_TaGaPN2
_chemical_formula_sum 'Ta1 Ga1 P1 N2'
_cell_length_a 3.643
_cell_length_b 3.643
_cell_length_c 5.074
_cell_angle_alpha 90.00
_cell_angle_beta 90.00
_cell_angle_gamma 90.00
_symmetry_space_group_name_H-M 'P 4/m m m'
_symmetry_Int_Tables_number 123
_symmetry_space_group_name_Hall '-P 4 2'
loop_
_atom_site_label
_atom_site_type_symbol
_atom_site_fract_x
_atom_site_fract_y
_atom_site_fract_z
_atom_site_occupancy
Ta1 Ta 0.000 0.000 0.000 1
Ga1 Ga 0.500 0.500 0.000 1
P1 P 0.000 0.000 0.500 1
N1 N 0.000 0.500 0.500 1
```

***

The following is a calculated powder XRD pattern of Rb4Pa3GaN8. It was derived from a PBE-relaxed structure, using Cu Kα, 1.54184 Å.

Most intense lines, 2θ from 10° to 90°, low angle first:
13.05 deg, rel. 81, hkl 0 0 1; 26.28 deg, rel. 86, hkl 0 0 2; 29.82 deg, rel. 56, hkl 4 0 -2; 30.92 deg, rel. 100, hkl 2 2 0; 32.42 deg, rel. 63, hkl 4 0 0; 35.12 deg, rel. 100, hkl 2 2 -2

```
data_Rb4Pa3GaN8
_chemical_formula_sum 'Rb8 Pa6 Ga2 N16'
_cell_length_a 12.752
_cell_length_b 6.790
_cell_length_c 7.830
_cell_angle_alpha 90.00
_cell_angle_beta 119.99
_cell_angle_gamma 90.00
_symmetry_space_group_name_H-M 'C 1 2/m 1'
_symmetry_Int_Tables_number 12
loop_
_symmetry_equiv_pos_as_xyz
'x,y,z'
'-x,-y,-z'
'-x,y,-z'
'x,-y,z'
'x+1/2,y+1/2,z'
'-x+1/2,-y+1/2,-z'
'-x+1/2,y+1/2,-z'
'x+1/2,-y+1/2,z'
loop_
_atom_site_label
_atom_site_type_symbol
_atom_site_fract_x
_atom_site_fract_y
_atom_site_fract_z
_atom_site_occupancy
Rb1 Rb 0.000 0.000 0.000 1
Rb2 Rb 0.000 0.500 0.000 1
Rb3 Rb 0.250 0.250 0.000 1
Pa1 Pa 0.000 0.000 0.500 1
Pa2 Pa 0.250 0.250 0.500 1
Ga1 Ga 0.000 0.500 0.500 1
N1 N 0.029 0.261 0.348 1
N2 N 0.217 0.000 0.659 1
N3 N 0.244 0.000 0.318 1
```

***

The following is a calculated powder XRD pattern of SrPa2GaN5. It was derived from a PBE-relaxed structure, using Cu Kα, 1.54184 Å.

Most intense lines, 2θ from 10° to 90°, low angle first:
15.56 deg, rel. 32, hkl 0 0 2; 31.01 deg, rel. 100, hkl 2 0 2; 31.41 deg, rel. 22, hkl 0 0 4; 38.34 deg, rel. 37, hkl 2 1 3; 50.37 deg, rel. 16, hkl 2 1 5; 57.47 deg, rel. 18, hkl 4 1 1

```
data_SrPa2GaN5
_chemical_formula_sum 'Sr4 Pa8 Ga4 N20'
_cell_length_a 6.678
_cell_length_b 6.678
_cell_length_c 11.392
_cell_angle_alpha 90.00
_cell_angle_beta 90.00
_cell_angle_gamma 90.00
_symmetry_space_group_name_H-M 'I 4/m c m'
_symmetry_Int_Tables_number 140
_symmetry_space_group_name_Hall '-I 4 2c'
loop_
_atom_site_label
_atom_site_type_symbol
_atom_site_fract_x
_atom_site_fract_y
_atom_site_fract_z
_atom_site_occupancy
Sr1 Sr 0.000 0.000 0.250 1
Pa1 Pa 0.183 0.317 0.000 1
Ga1 Ga 0.000 0.500 0.250 1
N1 N 0.000 0.000 0.000 1
N2 N 0.148 0.352 0.370 1
```